Diffraction record for NaTl. The PXRD pattern is theoretical, not measured: it uses a DFT-relaxed cell (GGA-PBE, Alexandria) and Cu Kα (λ = 1.5418 Å).
Neutral-atom scattering factors, no anomalous dispersion.

Most intense lines, 2θ from 10° to 90°, in order of falling intensity:
14.52 deg, I 100.0; 32.21 deg, I 92.4; 36.16 deg, I 62.6; 31.17 deg, I 49.9; 21.69 deg, I 47.7; 25.37 deg, I 36.4; 12.61 deg, I 35.7; 35.31 deg, I 34.4; 36.40 deg, I 33.2; 31.04 deg, I 32.7

Crystal structure
```
NaTl
1.0
6.5507 -7.0211 0.0000
6.5507 7.0211 0.0000
0.0000 0.0000 7.9091
Na Tl
12 12
direct
0.0631 0.4369 0.7500
0.1536 0.1536 0.0000
0.2097 0.7903 0.9428
0.2903 0.7097 0.4428
0.3464 0.3464 0.5000
0.4369 0.0631 0.2500
0.5631 0.9369 0.7500
0.6536 0.6536 0.5000
0.7097 0.2903 0.5572
0.7903 0.2097 0.0572
0.8464 0.8464 0.0000
0.9369 0.5631 0.2500
0.0290 0.2534 0.3767
0.0719 0.9281 0.2967
0.2466 0.4710 0.1233
0.2534 0.0290 0.6233
0.4281 0.5719 0.7967
0.4710 0.2466 0.8767
0.5290 0.7534 0.1233
0.5719 0.4281 0.2033
0.7466 0.9710 0.3767
0.7534 0.5290 0.8767
0.9281 0.0719 0.7033
0.9710 0.7466 0.6233
```